Record 1
For LiCd6Rh, the PBE geometry in Alexandria gives the calculated powder diffraction line list in this record (λ = 1.5418 Å (Cu Kα)).
Lines closer than 0.1° are merged.

```
data_LiCd6Rh
_symmetry_space_group_name_H-M 'C 1 2/m 1'
_symmetry_Int_Tables_number 12
_symmetry_space_group_name_Hall '-C 2y'
_cell_length_a 7.563
_cell_length_b 6.069
_cell_length_c 8.063
_cell_angle_alpha 90.00
_cell_angle_beta 105.19
_cell_angle_gamma 90.00
loop_
_atom_site_label
_atom_site_type_symbol
_atom_site_fract_x
_atom_site_fract_y
_atom_site_fract_z
_atom_site_occupancy
Li1 Li 0.000 0.000 0.000 1
Cd1 Cd 0.124 0.500 0.900 1
Cd2 Cd 0.198 0.254 0.315 1
Rh1 Rh 0.000 0.500 0.500 1
```

Main lines, sorted by position (2θ from 10° to 90°):
two_theta  I/Imax  h k l
19.0  100.0  1 1 0
31.6  27.8  0 2 1
32.3  35.4  1 1 2
36.9  74.1  2 0 -3
37.6  60.3  0 2 2
38.0  72.9  2 0 2
38.4  92.1  2 2 -1
38.6  52.0  2 2 0
46.0  49.0  0 2 3
48.1  33.7  4 0 -1

---

Record 2
For NdSmYHo, the PBE geometry in Alexandria gives the calculated powder diffraction line list in this record (λ = 1.5418 Å (Cu Kα)).
Lines closer than 0.1° are merged.

```
data_NdSmYHo
_symmetry_space_group_name_H-M 'I -4 m 2'
_symmetry_Int_Tables_number 119
_symmetry_space_group_name_Hall 'I -4 -2'
_cell_length_a 5.103
_cell_length_b 5.103
_cell_length_c 10.152
_cell_angle_alpha 90.00
_cell_angle_beta 90.00
_cell_angle_gamma 90.00
loop_
_atom_site_label
_atom_site_type_symbol
_atom_site_fract_x
_atom_site_fract_y
_atom_site_fract_z
_atom_site_occupancy
Nd1 Nd 0.000 0.000 0.000 1
Sm1 Sm 0.000 0.500 0.750 1
Y1 Y 0.000 0.500 0.250 1
Ho1 Ho 0.000 0.000 0.500 1
```

Main lines, sorted by position (2θ from 10° to 90°):
two_theta  I/Imax  h k l
30.4  100.0  1 1 2
35.2  33.9  2 0 0
35.4  16.7  0 0 4
50.6  12.0  2 2 0
50.7  23.9  2 0 4
60.2  28.5  3 1 2
60.4  14.1  1 1 6
63.2  12.3  2 2 4
82.4  5.8  3 3 2
82.6  11.6  3 1 6

---

Record 3
For CrTc2Sb, the PBE geometry in Alexandria gives the calculated powder diffraction line list in this record (λ = 1.5418 Å (Cu Kα)).
Lines closer than 0.1° are merged.

```
data_CrTc2Sb
_symmetry_space_group_name_H-M 'C 1 m 1'
_symmetry_Int_Tables_number 8
_symmetry_space_group_name_Hall 'C -2y'
_cell_length_a 9.422
_cell_length_b 3.098
_cell_length_c 4.521
_cell_angle_alpha 90.00
_cell_angle_beta 109.71
_cell_angle_gamma 90.00
loop_
_atom_site_label
_atom_site_type_symbol
_atom_site_fract_x
_atom_site_fract_y
_atom_site_fract_z
_atom_site_occupancy
Cr1 Cr 0.000 0.000 0.000 1
Tc1 Tc 0.234 0.500 0.119 1
Tc2 Tc 0.493 0.000 0.466 1
Sb1 Sb 0.248 0.000 0.646 1
```

Main lines, sorted by position (2θ from 10° to 90°):
two_theta  I/Imax  h k l
35.2  16.4  1 1 -1
39.3  100.0  1 1 1
40.4  36.5  2 0 -2
40.7  49.1  4 0 0
42.4  97.5  3 1 -1
53.7  13.9  2 0 2
59.7  15.7  0 2 0
70.9  18.1  5 1 1
74.8  16.4  4 2 0
77.4  13.2  7 1 -1

---

Please write out number 1 again, unchanged.
For LiCd6Rh, the PBE geometry in Alexandria gives the calculated powder diffraction line list in this record (λ = 1.5418 Å (Cu Kα)).
Lines closer than 0.1° are merged.

```
data_LiCd6Rh
_symmetry_space_group_name_H-M 'C 1 2/m 1'
_symmetry_Int_Tables_number 12
_symmetry_space_group_name_Hall '-C 2y'
_cell_length_a 7.563
_cell_length_b 6.069
_cell_length_c 8.063
_cell_angle_alpha 90.00
_cell_angle_beta 105.19
_cell_angle_gamma 90.00
loop_
_atom_site_label
_atom_site_type_symbol
_atom_site_fract_x
_atom_site_fract_y
_atom_site_fract_z
_atom_site_occupancy
Li1 Li 0.000 0.000 0.000 1
Cd1 Cd 0.124 0.500 0.900 1
Cd2 Cd 0.198 0.254 0.315 1
Rh1 Rh 0.000 0.500 0.500 1
```

Main lines, sorted by position (2θ from 10° to 90°):
two_theta  I/Imax  h k l
19.0  100.0  1 1 0
31.6  27.8  0 2 1
32.3  35.4  1 1 2
36.9  74.1  2 0 -3
37.6  60.3  0 2 2
38.0  72.9  2 0 2
38.4  92.1  2 2 -1
38.6  52.0  2 2 0
46.0  49.0  0 2 3
48.1  33.7  4 0 -1